[1]
The following is a computed PXRD pattern of Rb3Bi. It was derived from a DFT-relaxed cell (GGA-PBE, the Materials Project), using a wavelength of 1.5418 Å.

Principal peaks in the range 2θ from 15° to 90°, in order of rising 2θ:
15.3°, intensity 24; 17.4°, intensity 27; 27.3°, intensity 100; 28.0°, intensity 93; 31.4°, intensity 26; 39.5°, intensity 37; 48.2°, intensity 21; 48.6°, intensity 41; 55.2°, intensity 28; 64.0°, intensity 18

Atomic structure:
Lattice parameters (Å, degrees): 6.539 6.539 11.592 90.00 90.00 120.00
Element x y z (fractional)
Rb: 0.000 0.000 0.250
Rb: 0.000 0.000 0.750
Rb: 0.333 0.667 0.082
Rb: 0.333 0.667 0.418
Rb: 0.667 0.333 0.582
Rb: 0.667 0.333 0.918
Bi: 0.333 0.667 0.750
Bi: 0.667 0.333 0.250


[2]
The following is a computed PXRD pattern of Y3Fe2Ru4. It was derived from a DFT-relaxed cell (GGA-PBE, the Materials Project), using a wavelength of 1.5418 Å.

Principal peaks in the range 2θ from 15° to 90°, in order of rising 2θ:
34.3°, intensity 56; 39.2°, intensity 57; 39.5°, intensity 56; 39.5°, intensity 56; 39.7°, intensity 70; 39.8°, intensity 100; 40.6°, intensity 66; 41.1°, intensity 48; 41.4°, intensity 46; 41.6°, intensity 45

Atomic structure:
Lattice parameters (Å, degrees): 5.201 5.242 13.103 88.81 89.25 62.08
Element x y z (fractional)
Y: 0.003 0.497 0.126
Y: 0.334 0.832 0.791
Y: 0.334 0.834 0.541
Y: 0.666 0.166 0.459
Y: 0.666 0.168 0.209
Y: 0.997 0.503 0.874
Fe: 0.000 0.000 0.000
Fe: 0.164 0.668 0.334
Fe: 0.500 0.000 0.000
Fe: 0.836 0.332 0.666
Ru: 0.000 0.500 0.500
Ru: 0.165 0.168 0.333
Ru: 0.329 0.836 0.163
Ru: 0.338 0.330 0.669
Ru: 0.500 0.500 0.000
Ru: 0.662 0.670 0.331
Ru: 0.671 0.164 0.837
Ru: 0.835 0.832 0.667


[3]
The following is a computed PXRD pattern of KLiDyF5. It was derived from a DFT-relaxed cell (GGA-PBE, the Materials Project), using a wavelength of 1.5418 Å.

Principal peaks in the range 2θ from 15° to 90°, in order of rising 2θ:
18.0°, intensity 57; 26.4°, intensity 100; 27.2°, intensity 24; 27.9°, intensity 39; 28.1°, intensity 35; 28.5°, intensity 58; 32.0°, intensity 26; 41.4°, intensity 23; 43.5°, intensity 25; 47.4°, intensity 42

Atomic structure:
Lattice parameters (Å, degrees): 6.531 11.904 6.373 90.00 113.85 90.00
Element x y z (fractional)
K: 0.053 0.150 0.037
K: 0.053 0.350 0.537
K: 0.947 0.650 0.463
K: 0.947 0.850 0.963
Li: 0.442 0.746 0.538
Li: 0.442 0.754 0.038
Li: 0.558 0.246 0.962
Li: 0.558 0.254 0.462
Dy: 0.318 0.502 0.180
Dy: 0.318 0.998 0.680
Dy: 0.682 0.002 0.320
Dy: 0.682 0.498 0.820
F: 0.044 0.507 0.827
F: 0.044 0.993 0.327
F: 0.280 0.695 0.223
F: 0.280 0.805 0.723
F: 0.287 0.174 0.778
F: 0.287 0.326 0.278
F: 0.334 0.532 0.547
F: 0.334 0.968 0.047
F: 0.464 0.104 0.466
F: 0.464 0.396 0.966
F: 0.536 0.604 0.034
F: 0.536 0.896 0.534
F: 0.666 0.032 0.953
F: 0.666 0.468 0.453
F: 0.713 0.674 0.722
F: 0.713 0.826 0.222
F: 0.720 0.195 0.277
F: 0.720 0.305 0.777
F: 0.956 0.007 0.673
F: 0.956 0.493 0.173


[4]
The following is a computed PXRD pattern of NaSmS2. It was derived from a DFT-relaxed cell (GGA-PBE, the Materials Project), using a wavelength of 1.5418 Å.

Principal peaks in the range 2θ from 15° to 90°, in order of rising 2θ:
25.6°, intensity 41; 26.8°, intensity 28; 31.0°, intensity 100; 33.8°, intensity 17; 40.5°, intensity 17; 44.2°, intensity 35; 44.5°, intensity 36; 46.6°, intensity 20; 55.2°, intensity 18; 73.5°, intensity 15

Atomic structure:
Lattice parameters (Å, degrees): 7.108 7.108 7.108 33.31 33.31 33.31
Element x y z (fractional)
Na: 0.000 0.000 0.000
Sm: 0.500 0.500 0.500
S: 0.243 0.243 0.243
S: 0.757 0.757 0.757